Diffraction record for TlVF3. The powder XRD pattern is computed, not measured: it uses a DFT-relaxed cell (PBE+U, Alexandria) and Cu Kα.
No peak broadening, texture or thermal motion is included.

Structural model:
```
data_TlVF3
_symmetry_space_group_name_H-M 'R -3'
_symmetry_Int_Tables_number 148
_symmetry_space_group_name_Hall '-R 3'
_cell_length_a 5.7153
_cell_length_b 5.7153
_cell_length_c 20.4336
_cell_angle_alpha 90.00
_cell_angle_beta 90.00
_cell_angle_gamma 120.00
loop_
_atom_site_label
_atom_site_fract_x
_atom_site_fract_y
_atom_site_fract_z
Tl1 0.0000 0.0000 0.1238
V1 0.0000 0.0000 0.3337
F1 0.0009 0.3689 0.9447
```

The 10 most intense peaks (2θ = 10–90°), sorted by position:
| hkl | 2θ (°) | I_rel |
| --- | --- | --- |
| 1 0 1 | 18.44 | 47 |
| 1 0 4 | 25.05 | 100 |
| 0 1 5 | 28.32 | 42 |
| 1 1 0 | 31.30 | 54 |
| 2 -1 3 | 34.02 | 22 |
| 0 1 8 | 39.71 | 23 |
| 0 2 4 | 40.50 | 27 |
| 1 1 9 | 51.40 | 36 |
| 2 1 4 | 52.06 | 27 |
| 3 0 0 | 55.71 | 19 |